For ScO3, a DFT-relaxed cell (GGA-PBE, the Materials Project) gives the theoretical X-ray powder pattern in this record (Cu Kα (λ = 1.5418 Å)).
Lines closer than 0.1° are merged.

Principal peaks in the range 2θ from 10° to 90°, in order of rising 2θ:
2theta  I_rel
23.5  24
30.7  43
39.6  60
41.3  15
48.1  23
52.4  100
58.6  11
64.0  16
68.8  12
81.3  21

Cell and atoms:
a = 4.3679 Å, b = 4.3679 Å, c = 4.5515 Å
α = 90.00°, β = 90.00°, γ = 120.00°
Space group P6_3/mmc (No. 194)
Unique sites:
Sc  0.3333  0.6667  0.2500 [2 per cell]
O  0.1740  0.3479  0.7500 [6 per cell]